Theoretical XRD peak list of CsCa2MoF8 for Cu Ka, from a structure optimized by DFT (PBE+U).

Structural model:
```
data_CsCa2MoF8
_chemical_formula_sum 'Cs1 Ca2 Mo1 F8'
_cell_length_a 5.2400
_cell_length_b 5.4509
_cell_length_c 7.5733
_cell_angle_alpha 88.79
_cell_angle_beta 89.09
_cell_angle_gamma 88.91
_space_group_name_H-M_alt 'P -1'
_space_group_IT_number 2
loop_
_space_group_symop_operation_xyz
'x,y,z'
'-x,-y,-z'
loop_
_atom_site_label
_atom_site_fract_x
_atom_site_fract_y
_atom_site_fract_z
_atom_site_occupancy
Cs1 0.0000 0.0000 0.0000 1
Ca1 0.4989 0.4981 0.2519 1
Mo1 0.0000 0.0000 0.5000 1
F1 0.1705 0.7605 0.6871 1
F2 0.1851 0.7726 0.3157 1
F3 0.3036 0.2620 0.5007 1
F4 0.4243 0.2854 0.0041 1
```

Principal peaks in the range 15° ≤ 2θ ≤ 90°, in order of rising 2θ:
| h k l | Position (°2θ) | intensity |
| --- | --- | --- |
| 0 1 0 | 16.27 | 36 |
| 1 1 0 | 23.34 | 100 |
| 1 -1 0 | 23.78 | 78 |
| 0 1 2 | 28.43 | 44 |
| 0 1 -2 | 29.00 | 43 |
| -1 2 2 | 44.50 | 36 |